Simulated powder diffractogram
Compound: ScHO2
Radiation: CuKα
Structure: a crystal structure in the Materials Project, relaxed with GGA-PBE
Kinematic intensities with the Lorentz-polarization factor, no thermal factor.

The 10 most intense peaks (2θ from 10° to 90°), low angle first:
19.59 deg, I 100; 31.96 deg, I 27; 33.49 deg, I 28; 37.77 deg, I 87; 44.10 deg, I 13; 51.91 deg, I 58; 56.96 deg, I 34; 60.83 deg, I 23; 70.89 deg, I 15; 80.67 deg, I 13

Structural model:
```
ScHO2
1.0
3.234 0.000 0.000
-1.617 2.800 0.000
0.000 0.000 9.062
Sc H O
2 2 4
direct
0.000 0.000 0.000 Sc
0.000 0.000 0.500 Sc
0.333 0.667 0.250 H
0.667 0.333 0.750 H
0.333 0.667 0.116 O
0.333 0.667 0.384 O
0.667 0.333 0.616 O
0.667 0.333 0.884 O
```


Simulated powder diffractogram
Compound: TbZnSn
Radiation: CuKα
Structure: a crystal structure in the Materials Project, relaxed with GGA-PBE
Kinematic intensities with the Lorentz-polarization factor, no thermal factor.

The 10 most intense peaks (2θ from 10° to 90°), low angle first:
22.74 deg, I 8; 28.30 deg, I 16; 32.01 deg, I 100; 39.93 deg, I 60; 45.37 deg, I 7; 46.01 deg, I 14; 52.06 deg, I 26; 62.00 deg, I 16; 67.57 deg, I 23; 72.51 deg, I 10

Structural model:
```
TbZnSn
1.0
4.516 0.000 0.000
-2.258 3.911 0.000
0.000 0.000 15.992
Tb Zn Sn
4 4 4
direct
0.000 0.000 0.000 Tb
0.000 0.000 0.250 Tb
0.000 0.000 0.500 Tb
0.000 0.000 0.750 Tb
0.333 0.667 0.160 Zn
0.333 0.667 0.340 Zn
0.667 0.333 0.660 Zn
0.667 0.333 0.840 Zn
0.333 0.667 0.614 Sn
0.333 0.667 0.886 Sn
0.667 0.333 0.114 Sn
0.667 0.333 0.386 Sn
```


Simulated powder diffractogram
Compound: HfH3
Radiation: CuKα
Structure: a crystal structure in the Materials Project, relaxed with GGA-PBE
Kinematic intensities with the Lorentz-polarization factor, no thermal factor.

The 10 most intense peaks (2θ from 10° to 90°), low angle first:
29.44 deg, I 33; 32.84 deg, I 100; 41.84 deg, I 26; 51.99 deg, I 29; 54.41 deg, I 24; 60.67 deg, I 9; 68.85 deg, I 12; 70.72 deg, I 22; 76.79 deg, I 9; 85.88 deg, I 14

Structural model:
```
HfH3
1.0
-1.527 1.527 3.034
1.527 -1.527 3.034
1.527 1.527 -3.034
Hf H
1 3
direct
0.000 0.000 0.000 Hf
0.250 0.750 0.500 H
0.500 0.500 0.000 H
0.750 0.250 0.500 H
```


Simulated powder diffractogram
Compound: Ca3PI3
Radiation: CuKα
Structure: a crystal structure in the Materials Project, relaxed with GGA-PBE
Kinematic intensities with the Lorentz-polarization factor, no thermal factor.

The 10 most intense peaks (2θ from 10° to 90°), low angle first:
17.46 deg, I 13; 24.79 deg, I 57; 26.81 deg, I 23; 28.70 deg, I 100; 41.03 deg, I 71; 48.53 deg, I 31; 50.84 deg, I 24; 65.39 deg, I 14; 67.31 deg, I 29; 74.76 deg, I 20

Structural model:
```
Ca3PI3
1.0
-6.221 6.221 6.221
6.221 -6.221 6.221
6.221 6.221 -6.221
Ca P I
12 4 12
direct
0.019 0.037 0.269 Ca
0.019 0.481 0.750 Ca
0.037 0.269 0.019 Ca
0.231 0.269 0.750 Ca
0.231 0.463 0.481 Ca
0.269 0.019 0.037 Ca
0.269 0.750 0.231 Ca
0.463 0.481 0.231 Ca
0.481 0.231 0.463 Ca
0.481 0.750 0.019 Ca
0.750 0.019 0.481 Ca
0.750 0.231 0.269 Ca
0.000 0.250 0.500 P
0.250 0.250 0.250 P
0.250 0.500 0.000 P
0.500 0.000 0.250 P
0.250 0.753 0.747 I
0.250 0.997 0.503 I
0.503 0.250 0.997 I
0.503 0.753 0.505 I
0.505 0.503 0.753 I
0.747 0.250 0.753 I
0.747 0.997 0.995 I
0.753 0.505 0.503 I
0.753 0.747 0.250 I
0.995 0.747 0.997 I
0.997 0.503 0.250 I
0.997 0.995 0.747 I
```


Simulated powder diffractogram
Compound: Cr2CuS4
Radiation: CuKα
Structure: a crystal structure in the Materials Project, relaxed with GGA-PBE
Kinematic intensities with the Lorentz-polarization factor, no thermal factor.

The 10 most intense peaks (2θ from 10° to 90°), low angle first:
15.01 deg, I 59; 29.95 deg, I 66; 30.29 deg, I 43; 33.61 deg, I 59; 34.31 deg, I 75; 43.26 deg, I 62; 43.56 deg, I 75; 44.66 deg, I 100; 52.97 deg, I 44; 53.61 deg, I 78

Structural model:
```
Cr2CuS4
1.0
5.665 0.000 0.000
0.000 3.457 0.000
-0.275 0.000 5.900
Cr Cu S
2 1 4
direct
0.000 0.000 0.000 Cr
0.000 0.500 0.500 Cr
0.500 0.000 0.000 Cu
0.230 0.000 0.674 S
0.240 0.500 0.176 S
0.760 0.500 0.824 S
0.770 0.000 0.326 S
```


Simulated powder diffractogram
Compound: Ba24In19N11
Radiation: CuKα
Structure: a crystal structure in the Materials Project, relaxed with GGA-PBE
Kinematic intensities with the Lorentz-polarization factor, no thermal factor.

The 10 most intense peaks (2θ from 10° to 90°), low angle first:
28.41 deg, I 29; 28.74 deg, I 35; 28.84 deg, I 28; 30.10 deg, I 32; 30.35 deg, I 37; 30.51 deg, I 100; 30.63 deg, I 56; 30.69 deg, I 60; 50.57 deg, I 45; 51.16 deg, I 35

Structural model:
```
Ba24In19N11
1.0
9.424 -5.332 0.000
9.424 5.332 0.000
-6.081 0.000 17.574
Ba In N
24 19 11
direct
0.000 0.000 0.000 Ba
0.054 0.054 0.447 Ba
0.055 0.696 0.449 Ba
0.176 0.176 0.818 Ba
0.176 0.559 0.936 Ba
0.179 0.824 0.820 Ba
0.232 0.874 0.625 Ba
0.320 0.683 0.322 Ba
0.359 0.999 0.999 Ba
0.363 0.754 0.132 Ba
0.370 0.370 0.131 Ba
0.501 0.857 0.501 Ba
0.502 0.502 0.502 Ba
0.556 0.556 0.936 Ba
0.559 0.176 0.936 Ba
0.680 0.680 0.322 Ba
0.683 0.320 0.322 Ba
0.696 0.055 0.449 Ba
0.754 0.363 0.132 Ba
0.824 0.179 0.820 Ba
0.857 0.501 0.501 Ba
0.874 0.232 0.625 Ba
0.876 0.876 0.625 Ba
0.999 0.359 0.999 Ba
0.017 0.727 0.124 In
0.028 0.522 0.222 In
0.041 0.320 0.321 In
0.177 0.177 0.170 In
0.230 0.518 0.626 In
0.231 0.231 0.625 In
0.320 0.041 0.321 In
0.328 0.328 0.325 In
0.373 0.373 0.767 In
0.518 0.230 0.626 In
0.522 0.028 0.222 In
0.529 0.825 0.824 In
0.682 0.682 0.687 In
0.721 0.721 0.121 In
0.727 0.017 0.124 In
0.773 0.773 0.968 In
0.825 0.529 0.824 In
0.825 0.825 0.822 In
0.873 0.873 0.269 In
0.028 0.028 0.725 N
0.090 0.090 0.914 N
0.279 0.778 0.472 N
0.296 0.741 0.982 N
0.299 0.299 0.980 N
0.520 0.520 0.201 N
0.588 0.588 0.410 N
0.741 0.296 0.982 N
0.777 0.777 0.472 N
0.778 0.279 0.472 N
0.967 0.967 0.536 N
```


Simulated powder diffractogram
Compound: InS2
Radiation: CuKα
Structure: a crystal structure in the Materials Project, relaxed with GGA-PBE
Kinematic intensities with the Lorentz-polarization factor, no thermal factor.

The 10 most intense peaks (2θ from 10° to 90°), low angle first:
19.15 deg, I 29; 31.53 deg, I 80; 37.15 deg, I 100; 38.87 deg, I 9; 49.50 deg, I 9; 56.14 deg, I 30; 59.88 deg, I 31; 65.83 deg, I 21; 74.82 deg, I 13; 78.08 deg, I 11

Structural model:
```
InS2
1.0
0.000 4.013 4.013
4.013 0.000 4.013
4.013 4.013 0.000
In S
2 4
direct
0.125 0.125 0.125 In
0.875 0.875 0.875 In
0.000 0.500 0.500 S
0.500 0.000 0.500 S
0.500 0.500 0.000 S
0.500 0.500 0.500 S
```


Simulated powder diffractogram
Compound: Nb3AlFe8
Radiation: CuKα
Structure: a crystal structure in the Materials Project, relaxed with GGA-PBE
Kinematic intensities with the Lorentz-polarization factor, no thermal factor.

The 10 most intense peaks (2θ from 10° to 90°), low angle first:
37.96 deg, I 40; 40.73 deg, I 89; 44.59 deg, I 100; 45.67 deg, I 84; 50.09 deg, I 15; 70.45 deg, I 31; 73.20 deg, I 21; 76.06 deg, I 27; 81.16 deg, I 24; 88.24 deg, I 14

Structural model:
```
Nb3AlFe8
1.0
4.740 0.000 0.000
-2.370 4.105 0.000
0.000 0.000 7.893
Nb Al Fe
3 1 8
direct
0.000 0.000 0.000 Nb
0.000 0.000 0.372 Nb
0.667 0.333 0.855 Nb
0.667 0.333 0.492 Al
0.164 0.328 0.680 Fe
0.164 0.836 0.680 Fe
0.333 0.667 0.434 Fe
0.333 0.667 0.938 Fe
0.503 0.006 0.183 Fe
0.503 0.497 0.183 Fe
0.672 0.836 0.680 Fe
0.994 0.497 0.183 Fe
```